Al2S3: computed PXRD pattern (Cu Kα), based on a DFT-relaxed cell (GGA-PBE, the Materials Project).
Intensities are scaled so that the largest is 100.

```
data_Al2S3
_chemical_formula_sum 'Al12 S18'
_space_group_name_H-M_alt 'P 1'
_space_group_IT_number 1
_cell_length_a 6.4758
_cell_length_b 7.3492
_cell_length_c 20.9402
_cell_angle_alpha 98.51
_cell_angle_beta 92.39
_cell_angle_gamma 112.26
loop_
_space_group_symop_operation_xyz
'x,y,z'
loop_
_atom_site_label
_atom_site_type_symbol
_atom_site_fract_x
_atom_site_fract_y
_atom_site_fract_z
Al1 Al 0.0000 0.0000 0.0000
Al2 Al 0.0015 0.5888 0.7253
Al3 Al 0.0625 0.2700 0.3404
Al4 Al 0.1603 0.5560 0.4097
Al5 Al 0.1965 0.2674 0.4979
Al6 Al 0.4398 0.7957 0.1687
Al7 Al 0.4687 0.0234 0.3064
Al8 Al 0.4799 0.3688 0.1743
Al9 Al 0.7471 0.6965 0.1025
Al10 Al 0.8043 0.3740 0.6069
Al11 Al 0.9064 0.0939 0.6601
Al12 Al 0.9727 0.2486 0.0895
S1 S 0.0428 0.3057 0.9796
S2 S 0.0446 0.0187 0.4358
S3 S 0.0722 0.9732 0.1025
S4 S 0.0910 0.6526 0.6190
S5 S 0.1929 0.4615 0.1460
S6 S 0.2182 0.5595 0.7972
S7 S 0.2403 0.7654 0.2650
S8 S 0.2589 0.1312 0.5957
S9 S 0.2976 0.9049 0.4183
S10 S 0.4282 0.3181 0.2849
S11 S 0.4581 0.3852 0.6336
S12 S 0.4705 0.5413 0.4464
S13 S 0.5250 0.8026 0.7960
S14 S 0.5899 0.1401 0.1256
S15 S 0.7749 0.7863 0.7237
S16 S 0.7762 0.7013 0.9930
S17 S 0.8249 0.0621 0.2868
S18 S 0.8702 0.3277 0.5011
```

The 10 most intense peaks (10 to 80 degrees two-theta), in order of falling intensity:
d = 6.724 Å, I = 100
d = 3.432 Å, I = 66
d = 5.564 Å, I = 58
d = 4.934 Å, I = 53
d = 4.485 Å, I = 47
d = 3.345 Å, I = 45
d = 6.130 Å, I = 43
d = 4.877 Å, I = 40
d = 5.959 Å, I = 39
d = 6.864 Å, I = 36



Al2S3: computed PXRD pattern (Cu Kα), based on a DFT-relaxed cell (GGA-PBE, the Materials Project).
Intensities are scaled so that the largest is 100.

```
data_Al2S3
_chemical_formula_sum 'Al4 S6'
_space_group_name_H-M_alt 'P 1'
_space_group_IT_number 1
_cell_length_a 6.5487
_cell_length_b 6.5487
_cell_length_c 7.0597
_cell_angle_alpha 116.90
_cell_angle_beta 116.90
_cell_angle_gamma 59.56
loop_
_space_group_symop_operation_xyz
'x,y,z'
loop_
_atom_site_label
_atom_site_type_symbol
_atom_site_fract_x
_atom_site_fract_y
_atom_site_fract_z
Al1 Al 0.0679 0.9321 0.5000
Al2 Al 0.2427 0.4402 0.0144
Al3 Al 0.4402 0.2427 0.5144
Al4 Al 0.9321 0.0679 0.0000
S1 S 0.0591 0.2147 0.3850
S2 S 0.2147 0.0591 0.8850
S3 S 0.3787 0.5531 0.3976
S4 S 0.5531 0.3787 0.8976
S5 S 0.7164 0.8882 0.3862
S6 S 0.8882 0.7164 0.8862
```

The 10 most intense peaks (10 to 80 degrees two-theta), in order of falling intensity:
d = 3.274 Å, I = 100
d = 3.012 Å, I = 92
d = 2.860 Å, I = 88
d = 1.882 Å, I = 68
d = 3.253 Å, I = 48
d = 2.896 Å, I = 39
d = 1.894 Å, I = 37
d = 5.403 Å, I = 35
d = 1.590 Å, I = 31
d = 1.724 Å, I = 31



Al2S3: computed PXRD pattern (Cu Kα), based on a DFT-relaxed cell (GGA-PBE, the Materials Project).
Intensities are scaled so that the largest is 100.

```
data_Al2S3
_chemical_formula_sum 'Al4 S6'
_space_group_name_H-M_alt 'P 1'
_space_group_IT_number 1
_cell_length_a 6.5133
_cell_length_b 6.5133
_cell_length_c 6.5133
_cell_angle_alpha 55.67
_cell_angle_beta 55.67
_cell_angle_gamma 55.67
loop_
_space_group_symop_operation_xyz
'x,y,z'
loop_
_atom_site_label
_atom_site_type_symbol
_atom_site_fract_x
_atom_site_fract_y
_atom_site_fract_z
Al1 Al 0.1507 0.1507 0.1507
Al2 Al 0.3493 0.3493 0.3493
Al3 Al 0.6507 0.6507 0.6507
Al4 Al 0.8493 0.8493 0.8493
S1 S 0.0552 0.7500 0.4448
S2 S 0.2500 0.5552 0.9448
S3 S 0.4448 0.0552 0.7500
S4 S 0.5552 0.9448 0.2500
S5 S 0.7500 0.4448 0.0552
S6 S 0.9448 0.2500 0.5552
```

The 10 most intense peaks (10 to 80 degrees two-theta), in order of falling intensity:
d = 2.660 Å, I = 100
d = 2.037 Å, I = 53
d = 1.756 Å, I = 39
d = 4.436 Å, I = 23
d = 1.567 Å, I = 17
d = 2.218 Å, I = 15
d = 3.242 Å, I = 13
d = 1.330 Å, I = 12
d = 1.792 Å, I = 11
d = 1.465 Å, I = 11